Structure and calculated X-ray powder pattern of BaNaCuBrO2 (the PBE geometry in the Materials Project; λ = 1.5418 Å (Cu Kα)).
Intensities are scaled so that the largest is 100.

Cell and atoms:
```
BaNaCuBrO2
1.0
3.9931 0.0000 0.0000
0.0000 3.9931 0.0000
0.0000 0.0000 7.3215
Ba Na Cu Br O
1 1 1 1 2
Direct
0.0000 0.0000 0.0000 Ba
0.0000 0.0000 0.5627 Na
0.5000 0.5000 0.7477 Cu
0.5000 0.5000 0.2827 Br
0.0000 0.5000 0.7655 O
0.5000 0.0000 0.7655 O
```

Main lines, sorted by position (2θ = 10–80°):
index  Position (°2θ)  I (rel.)
0 0 1  12.09  31
1 0 1  25.41  37
1 1 0  31.69  48
1 0 2  33.20  100
2 0 0  45.43  26
1 1 3  49.36  13
2 1 1  52.76  10
2 1 2  57.41  40
1 1 4  60.26  11
2 0 4  69.69  11

Structure and calculated X-ray powder pattern of CeHfMg6O8 (the PBE geometry in the Materials Project; λ = 1.5418 Å (Cu Kα)).
Intensities are scaled so that the largest is 100.

Cell and atoms:
```
CeHfMg6O8
1.0
4.4862 0.0000 0.0000
0.0000 4.4862 0.0000
0.0000 0.0000 9.0567
Ce Hf Mg O
1 1 6 8
Direct
0.0000 0.0000 0.0000 Ce
0.5000 0.5000 0.0000 Hf
0.0000 0.0000 0.5000 Mg
0.0000 0.5000 0.2705 Mg
0.0000 0.5000 0.7295 Mg
0.5000 0.0000 0.2705 Mg
0.5000 0.0000 0.7295 Mg
0.5000 0.5000 0.5000 Mg
0.0000 0.0000 0.2733 O
0.0000 0.0000 0.7267 O
0.0000 0.5000 0.0000 O
0.0000 0.5000 0.5000 O
0.5000 0.0000 0.0000 O
0.5000 0.0000 0.5000 O
0.5000 0.5000 0.2638 O
0.5000 0.5000 0.7362 O
```

Main lines, sorted by position (2θ = 10–80°):
index  Position (°2θ)  I (rel.)
0 0 2  19.60  63
1 1 0  28.13  50
0 0 3  29.59  34
1 1 1  29.84  90
1 1 2  34.52  95
0 0 4  39.81  48
2 0 0  40.20  100
1 1 3  41.28  32
2 0 4  57.87  59
2 2 0  58.16  31